RbErSe2O8: calculated powder diffraction line list (CuKα), based on the GGA-PBE geometry in OQMD.

Top 6 peaks for 2θ from 10° to 90°, low angle first:
| Position (°2θ) | d [Å] | I_rel | h k l |
| --- | --- | --- | --- |
| 18.2 | 4.883 | 48 | 1 0 0 |
| 21.6 | 4.106 | 100 | 1 0 1 |
| 29.8 | 2.995 | 100 | 0 1 2 |
| 31.7 | 2.819 | 77 | 1 1 0 |
| 44.1 | 2.053 | 46 | 2 0 2 |
| 55.4 | 1.659 | 34 | 1 2 2 |

Structural model:
```
12
Lattice="5.639 0.000 0.000 -2.819 4.883 0.000 0.000 0.000 7.583" Properties=species:S:1:pos:R:3 pbc="T T T"
Rb 0.000 0.000 0.000
Er 0.000 0.000 3.792
Se 0.000 3.255 1.822
Se 2.819 1.628 5.761
O 0.000 1.702 2.427
O -1.345 4.032 2.427
O 0.000 3.255 0.187
O 1.474 0.851 5.157
O 1.345 4.032 2.427
O 2.819 1.628 7.396
O 4.165 0.851 5.157
O 2.819 3.181 5.157
```


Rb2ErTmO4: calculated powder diffraction line list (CuKα), based on the GGA-PBE geometry in OQMD.

Top 6 peaks for 2θ from 10° to 90°, low angle first:
| Position (°2θ) | d [Å] | I_rel | h k l |
| --- | --- | --- | --- |
| 13.8 | 6.429 | 31 | 0 0 2 |
| 27.8 | 3.214 | 35 | 0 0 4 |
| 33.4 | 2.685 | 100 | 0 1 2 |
| 41.5 | 2.175 | 24 | 1 0 4 |
| 52.8 | 1.735 | 33 | 1 0 6 |
| 53.7 | 1.706 | 25 | 1 1 0 |

Structural model:
```
8
Lattice="3.412 0.000 0.000 -1.706 2.955 0.000 0.000 0.000 12.857" Properties=species:S:1:pos:R:3 pbc="T T T"
Rb 0.000 1.970 3.211
Rb 1.706 0.985 9.646
Er 0.000 0.000 6.429
Tm 0.000 0.000 0.000
O 0.000 1.970 7.572
O 0.000 1.970 11.730
O 1.706 0.985 1.127
O 1.706 0.985 5.285
```


Er2S2O: calculated powder diffraction line list (CuKα), based on the GGA-PBE geometry in OQMD.

Top 6 peaks for 2θ from 10° to 90°, low angle first:
| Position (°2θ) | d [Å] | I_rel | h k l |
| --- | --- | --- | --- |
| 20.4 | 4.345 | 43 | 1 1 -1 |
| 26.6 | 3.350 | 50 | 0 0 2 |
| 27.2 | 3.280 | 62 | 2 1 -1 |
| 29.4 | 3.041 | 78 | 0 2 1 |
| 30.7 | 2.916 | 100 | 2 1 1 |
| 39.3 | 2.291 | 35 | 3 0 -2 |

Structural model:
```
20
Lattice="8.179 0.000 0.000 0.000 6.825 0.000 -1.131 0.000 6.700" Properties=species:S:1:pos:R:3 pbc="T T T"
Er 0.257 0.986 2.153
Er -0.309 2.426 5.503
Er 2.678 3.784 1.680
Er 2.113 6.453 5.029
Er 4.935 0.371 1.670
Er 4.370 3.041 5.020
Er 7.356 4.398 1.196
Er 6.791 5.839 4.546
S 0.832 4.316 3.866
S 1.397 5.921 0.516
S 2.938 1.519 3.147
S 2.373 1.894 6.497
S 4.675 4.931 0.203
S 4.110 5.306 3.553
S 5.651 0.903 6.184
S 6.216 2.509 2.834
O 0.222 0.595 4.352
O 0.787 2.817 1.002
O 6.261 4.008 5.698
O 6.826 6.229 2.348
```


Question: Number 2 is which compound?
Answer: Rb2ErTmO4